Starting from the GGA+U geometry in Alexandria, the powder X-ray diffraction pattern of Na3Mn2P2C2O14 was simulated for Cu Kα, 1.54184 Å.
No peak broadening, texture or thermal motion is included.

abc: 5.211 6.570 9.093
angles: 89.25 87.95 89.82
Fractional coordinates of all 23 atoms:
Na  0.000  0.000  0.000
Na  0.009  0.478  0.003
Na  0.528  0.519  0.530
Mn  0.551  0.736  0.127
Mn  0.980  0.227  0.423
P  0.052  0.733  0.344
P  0.489  0.239  0.201
C  0.048  0.239  0.686
C  0.490  0.734  0.858
O  0.081  0.244  0.822
O  0.190  0.236  0.233
O  0.235  0.238  0.585
O  0.298  0.743  0.959
O  0.348  0.721  0.310
O  0.463  0.720  0.725
O  0.557  0.423  0.099
O  0.569  0.050  0.111
O  0.628  0.251  0.347
O  0.714  0.740  0.924
O  0.822  0.235  0.627
O  0.917  0.730  0.194
O  0.973  0.546  0.441
O  0.978  0.922  0.434

Largest 8 diffraction maxima, by intensity, 10° ≤ 2θ ≤ 90°:
d [Å]  I (rel.)  index
3.285  100  0 2 0
3.486  91  1 0 2
5.291  59  0 1 -1
2.604  58  2 0 0
5.357  57  0 1 1
1.642  57  0 4 0
4.081  53  1 -1 0
2.660  51  1 0 3